Record 1
This entry pairs a crystal structure of PaBRh2 with its calculated powder XRD pattern. Radiation: Cu Kα. Structure: DFT lattice parameters and positions (GGA-PBE).
No peak broadening, texture or thermal motion is included.

Structure:
```
data_PaBRh2
_cell_length_a 3.682
_cell_length_b 6.714
_cell_length_c 5.243
_cell_angle_alpha 90.00
_cell_angle_beta 110.51
_cell_angle_gamma 90.00
_space_group_name_H-M_alt 'P 1 21/m 1'
_space_group_IT_number 11
loop_
_space_group_symop_operation_xyz
'x,y,z'
'-x,-y,-z'
'-x,y+1/2,-z'
'x,-y+1/2,z'
loop_
_atom_site_label
_atom_site_fract_x
_atom_site_fract_y
_atom_site_fract_z
_atom_site_occupancy
Pa1 0.068 0.250 0.134 1
B1 0.219 0.750 0.438 1
Rh1 0.352 0.046 0.704 1
```

Peak list (8 most intense, 5° ≤ 2θ ≤ 70°, by intensity)
2θ = 37.39°, intensity 100, (1 2 -1); 2θ = 39.19°, intensity 53, (1 1 1); 2θ = 36.73°, intensity 37, (1 0 -2); 2θ = 29.11°, intensity 34, (1 1 0); 2θ = 44.49°, intensity 32, (0 3 1); 2θ = 39.06°, intensity 31, (0 1 2); 2θ = 32.30°, intensity 28, (0 2 1); 2θ = 49.51°, intensity 23, (2 0 -1)

Record 2
This entry pairs a crystal structure of Ba2NaSn8 with its calculated powder XRD pattern. Radiation: Cu Kα. Structure: DFT lattice parameters and positions (GGA-PBE).
No peak broadening, texture or thermal motion is included.

Structure:
```
data_Ba2NaSn8
_cell_length_a 6.876
_cell_length_b 16.754
_cell_length_c 6.947
_cell_angle_alpha 90.00
_cell_angle_beta 112.43
_cell_angle_gamma 90.00
_space_group_name_H-M_alt 'C 1 2/m 1'
_space_group_IT_number 12
loop_
_space_group_symop_operation_xyz
'x,y,z'
'-x,-y,-z'
'-x,y,-z'
'x,-y,z'
'x+1/2,y+1/2,z'
'-x+1/2,-y+1/2,-z'
'-x+1/2,y+1/2,-z'
'x+1/2,-y+1/2,z'
loop_
_atom_site_label
_atom_site_fract_x
_atom_site_fract_y
_atom_site_fract_z
_atom_site_occupancy
Ba1 0.000 0.157 0.000 1
Na1 0.000 0.000 0.500 1
Sn1 0.000 0.242 0.500 1
Sn2 0.109 0.366 0.232 1
Sn3 0.145 0.500 0.717 1
```

Peak list (8 most intense, 5° ≤ 2θ ≤ 70°, by intensity)
2θ = 33.88°, intensity 100, (2 4 -1); 2θ = 28.19°, intensity 51, (1 3 1); 2θ = 25.39°, intensity 49, (0 4 1); 2θ = 42.30°, intensity 33, (1 3 -3); 2θ = 36.23°, intensity 30, (1 1 2); 2θ = 26.43°, intensity 28, (1 1 -2); 2θ = 29.80°, intensity 26, (0 2 2); 2θ = 14.91°, intensity 25, (1 1 0)

Record 3
This entry pairs a crystal structure of HgSb3 with its calculated powder XRD pattern. Radiation: Cu Kα. Structure: DFT lattice parameters and positions (GGA-PBE).
No peak broadening, texture or thermal motion is included.

Structure:
```
data_HgSb3
_cell_length_a 6.040
_cell_length_b 7.286
_cell_length_c 5.486
_cell_angle_alpha 90.00
_cell_angle_beta 90.00
_cell_angle_gamma 90.00
_space_group_name_H-M_alt 'C m m m'
_space_group_IT_number 65
_space_group_name_Hall '-C 2 2'
loop_
_atom_site_label
_atom_site_fract_x
_atom_site_fract_y
_atom_site_fract_z
_atom_site_occupancy
Hg1 0.000 0.000 0.000 1
Sb1 0.000 0.292 0.500 1
Sb2 0.000 0.500 0.000 1
```

Peak list (8 most intense, 5° ≤ 2θ ≤ 70°, by intensity)
2θ = 29.43°, intensity 100, (0 2 1); 2θ = 42.22°, intensity 75, (2 2 1); 2θ = 29.58°, intensity 56, (2 0 0); 2θ = 32.65°, intensity 43, (0 0 2); 2θ = 44.63°, intensity 36, (2 0 2); 2θ = 64.87°, intensity 21, (2 2 3); 2θ = 25.11°, intensity 21, (1 1 1); 2θ = 69.53°, intensity 17, (4 2 1)